The following is a computed XRD peak list of MgHg2O. It was derived from a GGA-PBE-relaxed structure, using Cu Kα (weighted mean of Kα1 and Kα2).
Intensities are scaled so that the largest is 100.

Most intense lines, 10 to 90 degrees two-theta, in order of rising 2θ:
2θ/deg  d (Å)  I (rel.)  index
15.9  5.557  45  2 0 0
25.3  3.514  100  3 1 0
25.6  3.477  22  1 0 1
30.3  2.948  100  2 1 1
36.1  2.485  29  4 2 0
38.2  2.358  53  3 2 1
41.4  2.180  30  5 1 0
46.2  1.965  17  4 4 0
50.8  1.798  22  5 2 1
51.2  1.783  16  1 1 2
56.3  1.635  18  6 1 1
60.6  1.529  19  4 0 2

Cell and atoms:
```
data_MgHg2O
_cell_length_a 11.1135
_cell_length_b 11.1135
_cell_length_c 3.6611
_cell_angle_alpha 90.00
_cell_angle_beta 90.00
_cell_angle_gamma 90.00
_space_group_name_H-M_alt 'I -4 2 d'
_space_group_IT_number 122
_space_group_name_Hall 'I -4 2bw'
loop_
_atom_site_label
_atom_site_type_symbol
_atom_site_fract_x
_atom_site_fract_y
_atom_site_fract_z
Mg1 Mg 0.0000 0.0000 0.0000
Hg1 Hg 0.1266 0.7500 0.6250
O1 O 0.0000 0.0000 0.5000
```